This entry pairs a crystal structure of TaMoW6 with its calculated XRD peak list. Radiation: Cu Kα X-rays. Structure: DFT lattice parameters and positions (PBE).

Structural model:
```
TaMoW6
1.0
4.6414 2.6797 1.7985
-4.6414 2.6797 1.7985
0.0000 -5.3594 1.7985
Ta Mo W
1 1 6
direct
0.0000 0.0000 0.0000
0.5000 0.5000 0.5000
0.2502 0.2502 0.7455
0.2502 0.7455 0.2502
0.2545 0.7498 0.7498
0.7455 0.2502 0.2502
0.7498 0.2545 0.7498
0.7498 0.7498 0.2545
```

Principal peaks in the range 2θ = 10–90°, low angle first:
35.09 deg, 2.558 Å, rel. 28.9
38.80 deg, 2.321 Å, rel. 100.0
40.26 deg, 2.240 Å, rel. 32.0
44.93 deg, 2.017 Å, rel. 29.1
53.30 deg, 1.719 Å, rel. 17.5
57.15 deg, 1.612 Å, rel. 11.7
60.84 deg, 1.523 Å, rel. 11.8
70.25 deg, 1.340 Å, rel. 17.7
71.23 deg, 1.324 Å, rel. 12.1
74.15 deg, 1.279 Å, rel. 15.2